This entry pairs a crystal structure of CaMgIn4 with its simulated powder diffraction line list. Radiation: copper Kα. Structure: a DFT-relaxed cell (PBE, Alexandria).

Largest 12 diffraction maxima, low angle first, 5 to 70 degrees two-theta:
d = 4.281 Å, I 40
d = 4.038 Å, I 17
d = 3.623 Å, I 55
d = 2.825 Å, I 32
d = 2.766 Å, I 73
d = 2.558 Å, I 100
d = 2.432 Å, I 43
d = 2.090 Å, I 48
d = 2.019 Å, I 22
d = 1.843 Å, I 17
d = 1.504 Å, I 22
d = 1.478 Å, I 16

Crystal structure
Lattice parameters (Å, degrees): 4.863 7.246 9.024 90.00 90.00 90.00
Space group Immm (No. 71)
Unique sites:
Ca  0.000  0.000  0.000 (multiplicity 2)
Mg  0.000  0.500  0.000 (multiplicity 2)
In  0.000  0.215  0.337 (multiplicity 8)

---

This entry pairs a crystal structure of Ca3MgIn12 with its simulated powder diffraction line list. Radiation: copper Kα. Structure: a DFT-relaxed cell (PBE, Alexandria).

Largest 12 diffraction maxima, low angle first, 5 to 70 degrees two-theta:
d = 4.762 Å, I 8
d = 4.596 Å, I 4
d = 3.368 Å, I 4
d = 3.307 Å, I 7
d = 2.716 Å, I 100
d = 2.381 Å, I 35
d = 2.298 Å, I 15
d = 1.684 Å, I 12
d = 1.653 Å, I 21
d = 1.431 Å, I 26
d = 1.394 Å, I 11
d = 1.358 Å, I 11

Crystal structure
Lattice parameters (Å, degrees): 4.762 4.762 18.382 90.00 90.00 90.00
Space group P4/mmm (No. 123)
Unique sites:
Ca  0.000  0.000  0.000 (multiplicity 1)
Ca  0.000  0.000  0.254 (multiplicity 2)
Mg  0.000  0.000  0.500 (multiplicity 1)
In  0.000  0.500  0.127 (multiplicity 4)
In  0.000  0.500  0.382 (multiplicity 4)
In  0.500  0.500  0.000 (multiplicity 1)
In  0.500  0.500  0.251 (multiplicity 2)
In  0.500  0.500  0.500 (multiplicity 1)

---

This entry pairs a crystal structure of Ca16Mg12In with its simulated powder diffraction line list. Radiation: copper Kα. Structure: a DFT-relaxed cell (PBE, Alexandria).

Largest 12 diffraction maxima, low angle first, 5 to 70 degrees two-theta:
d = 8.666 Å, I 19
d = 3.082 Å, I 22
d = 2.965 Å, I 34
d = 2.939 Å, I 58
d = 2.926 Å, I 79
d = 2.903 Å, I 57
d = 2.887 Å, I 100
d = 2.873 Å, I 57
d = 2.848 Å, I 22
d = 2.597 Å, I 19
d = 1.691 Å, I 20
d = 1.675 Å, I 21

Crystal structure
Lattice parameters (Å, degrees): 12.352 17.089 10.732 90.00 124.02 90.00
Space group Cm (No. 8)
Unique sites:
Ca  0.000  0.000  0.000 (multiplicity 2)
Ca  0.008  0.000  0.346 (multiplicity 2)
Ca  0.027  0.309  0.653 (multiplicity 4)
Ca  0.050  0.380  0.354 (multiplicity 4)
Ca  0.204  0.203  0.020 (multiplicity 4)
Ca  0.301  0.000  0.032 (multiplicity 2)
Ca  0.329  0.322  0.344 (multiplicity 4)
Ca  0.352  0.345  0.743 (multiplicity 4)
Ca  0.373  0.000  0.660 (multiplicity 2)
Ca  0.446  0.152  0.937 (multiplicity 4)
Mg  0.000  0.188  0.157 (multiplicity 4)
Mg  0.100  0.094  0.694 (multiplicity 4)
Mg  0.149  0.500  0.167 (multiplicity 2)
Mg  0.188  0.187  0.513 (multiplicity 4)
Mg  0.236  0.409  0.979 (multiplicity 4)
Mg  0.261  0.093  0.319 (multiplicity 4)
Mg  0.334  0.500  0.529 (multiplicity 2)
In  0.156  0.500  0.671 (multiplicity 2)

---

This entry pairs a crystal structure of CaMg2Tl2In2 with its simulated powder diffraction line list. Radiation: copper Kα. Structure: a DFT-relaxed cell (PBE, Alexandria).

Largest 12 diffraction maxima, low angle first, 5 to 70 degrees two-theta:
d = 4.437 Å, I 37
d = 4.063 Å, I 69
d = 3.455 Å, I 19
d = 3.186 Å, I 25
d = 2.738 Å, I 100
d = 2.687 Å, I 47
d = 2.628 Å, I 98
d = 2.468 Å, I 41
d = 1.986 Å, I 20
d = 1.818 Å, I 29
d = 1.547 Å, I 21
d = 1.519 Å, I 16

Crystal structure
Lattice parameters (Å, degrees): 9.333 4.936 8.433 90.00 108.05 90.00
Space group C2/m (No. 12)
Unique sites:
Ca  0.000  0.000  0.000 (multiplicity 2)
Mg  0.077  0.500  0.713 (multiplicity 4)
Tl  0.221  0.500  0.171 (multiplicity 4)
In  0.134  0.000  0.418 (multiplicity 4)

---

This entry pairs a crystal structure of CaYMgIn with its simulated powder diffraction line list. Radiation: copper Kα. Structure: a DFT-relaxed cell (PBE, Alexandria).

Largest 8 diffraction maxima, low angle first, 5 to 70 degrees two-theta:
d = 4.405 Å, I 32
d = 2.698 Å, I 100
d = 2.301 Å, I 18
d = 1.908 Å, I 17
d = 1.751 Å, I 8
d = 1.558 Å, I 35
d = 1.468 Å, I 6
d = 1.349 Å, I 11

Crystal structure
Lattice parameters (Å, degrees): 7.630 7.630 7.630 90.00 90.00 90.00
Space group F-43m (No. 216)
Unique sites:
Ca  0.000  0.000  0.000 (multiplicity 4)
Y  0.000  0.000  0.500 (multiplicity 4)
Mg  0.250  0.250  0.250 (multiplicity 4)
In  0.250  0.250  0.750 (multiplicity 4)